No. 1
Starting from the GGA-PBE geometry in Alexandria, the X-ray diffraction stick pattern of KNdMoN3 was computed for Cu Ka.

Main lines, by angle (5° ≤ 2θ ≤ 70°):
2θ (°)  intensity
11.44  100
29.49  26
30.26  61
30.37  29
30.49  13
31.91  66
40.27  20
40.93  13
46.21  19
52.82  14

Crystal structure
Cell: 13.9161 3.9299 8.0106 Å, 90.00 105.07 90.00°
Space group C2/m (No. 12)
One atom of each set of equivalent atoms:
K  0.1438  0.0000  0.0690 (multiplicity 4)
Nd  0.1628  0.0000  0.5936 (multiplicity 4)
Mo  0.0074  0.5000  0.3226 (multiplicity 4)
N  0.0121  0.0000  0.3453 (multiplicity 4)
N  0.1308  0.5000  0.7908 (multiplicity 4)
N  0.1560  0.5000  0.3579 (multiplicity 4)

No. 2
Starting from the GGA-PBE geometry in Alexandria, the X-ray diffraction stick pattern of CrNi14Ir was computed for Cu Ka.

Main lines, by angle (5° ≤ 2θ ≤ 70°):
2θ (°)  intensity
10.78  14
23.15  17
29.92  13
42.81  29
43.05  58
44.13  58
47.10  52
47.32  100
53.66  14
53.87  29

Crystal structure
Cell: 8.2086 5.0104 8.7444 Å, 90.00 90.00 90.00°
Space group Amm2 (No. 38)
One atom of each set of equivalent atoms:
Cr  0.0000  0.0000  0.0000 (multiplicity 2)
Ni  0.0000  0.2500  0.2503 (multiplicity 4)
Ni  0.2503  0.0000  0.1655 (multiplicity 4)
Ni  0.2524  0.2475  0.9159 (multiplicity 8)
Ni  0.2535  0.0000  0.6672 (multiplicity 4)
Ni  0.5000  0.0000  0.3325 (multiplicity 2)
Ni  0.5000  0.0000  0.8332 (multiplicity 2)
Ni  0.5000  0.2493  0.0826 (multiplicity 4)
Ir  0.0000  0.0000  0.5003 (multiplicity 2)

No. 3
Starting from the GGA-PBE geometry in Alexandria, the X-ray diffraction stick pattern of Cr3Fe3N was computed for Cu Ka.

Main lines, by angle (5° ≤ 2θ ≤ 70°):
2θ (°)  intensity
14.62  12
37.36  6
42.20  30
44.89  100
49.12  38
51.53  3
52.32  11
58.34  6
63.30  2
68.72  5

Crystal structure
Cell: 10.4917 10.4917 10.4917 Å, 90.00 90.00 90.00°
Space group Fd-3m (No. 227, origin choice 2)
One atom of each set of equivalent atoms:
Cr  0.0697  0.3750  0.3750 (multiplicity 48)
Fe  0.0000  0.0000  0.5000 (multiplicity 16)
Fe  0.0399  0.0399  0.7101 (multiplicity 32)
N  0.0000  0.0000  0.0000 (multiplicity 16)

No. 4
Starting from the GGA-PBE geometry in Alexandria, the X-ray diffraction stick pattern of Zr2Zn16Pt was computed for Cu Ka.

Main lines, by angle (5° ≤ 2θ ≤ 70°):
2θ (°)  intensity
13.46  44
35.30  60
36.35  46
40.99  89
41.18  100
41.76  33
41.92  26
42.11  47
46.26  78
46.79  25

Crystal structure
Cell: 8.8077 8.8077 12.9780 Å, 90.00 90.00 120.00°
Space group R3m (No. 160, hexagonal axes)
One atom of each set of equivalent atoms:
Zr  0.0000  0.0000  0.0000 (multiplicity 3)
Zr  0.0000  0.0000  0.3339 (multiplicity 3)
Zn  0.0000  0.0000  0.5651 (multiplicity 3)
Zn  0.0007  0.2981  0.6695 (multiplicity 18)
Zn  0.0011  0.5005  0.1683 (multiplicity 9)
Zn  0.0174  0.5087  0.8178 (multiplicity 9)
Zn  0.1700  0.3401  0.8531 (multiplicity 9)
Pt  0.0000  0.0000  0.7706 (multiplicity 3)

No. 5
Starting from the GGA-PBE geometry in Alexandria, the X-ray diffraction stick pattern of Al2HgRu was computed for Cu Ka.

Main lines, by angle (5° ≤ 2θ ≤ 70°):
2θ (°)  intensity
12.60  16
25.36  43
29.09  56
31.82  19
38.97  100
41.61  44
49.36  29
60.31  15
60.76  19
68.76  16

Crystal structure
Cell: 3.0694 3.0694 7.0246 Å, 90.00 90.00 90.00°
Space group P4/mmm (No. 123)
One atom of each set of equivalent atoms:
Al  0.0000  0.0000  0.1973 (multiplicity 2)
Hg  0.5000  0.5000  0.5000 (multiplicity 1)
Ru  0.5000  0.5000  0.0000 (multiplicity 1)

No. 6
Starting from the GGA-PBE geometry in Alexandria, the X-ray diffraction stick pattern of Ca3In2Hg9 was computed for Cu Ka.

Main lines, by angle (5° ≤ 2θ ≤ 70°):
2θ (°)  intensity
19.40  60
20.58  44
30.65  48
31.15  89
34.34  51
34.90  89
37.63  42
40.51  65
40.86  100
61.12  45

Crystal structure
Cell: 5.1422 10.0330 14.3420 Å, 90.00 90.00 90.00°
Space group Immm (No. 71)
One atom of each set of equivalent atoms:
Ca  0.0000  0.0000  0.0000 (multiplicity 2)
Ca  0.0000  0.0000  0.2808 (multiplicity 4)
In  0.0000  0.1624  0.5000 (multiplicity 4)
Hg  0.0000  0.2831  0.1459 (multiplicity 8)
Hg  0.0000  0.3603  0.3501 (multiplicity 8)
Hg  0.0000  0.5000  0.0000 (multiplicity 2)

No. 7
Starting from the GGA-PBE geometry in Alexandria, the X-ray diffraction stick pattern of Ba2SrLa was computed for Cu Ka.

Main lines, by angle (5° ≤ 2θ ≤ 70°):
2θ (°)  intensity
26.72  100
26.93  98
27.00  97
38.25  19
38.45  38
47.36  62
47.55  20
47.81  30
55.64  19
62.66  18

Crystal structure
Cell: 8.1696 13.2663 4.0308 Å, 90.00 109.11 90.00°
Space group C2/m (No. 12)
One atom of each set of equivalent atoms:
Ba  0.2500  0.2500  0.0000 (multiplicity 4)
Sr  0.0000  0.0000  0.5000 (multiplicity 2)
La  0.0000  0.5000  0.5000 (multiplicity 2)

No. 8
Starting from the GGA-PBE geometry in Alexandria, the X-ray diffraction stick pattern of PAuSCl2 was computed for Cu Ka.

Main lines, by angle (5° ≤ 2θ ≤ 70°):
2θ (°)  intensity
18.37  43
26.10  43
26.99  84
32.85  100
37.24  53
39.81  22
46.60  40
53.69  18
55.65  32
64.39  27

Crystal structure
Cell: 4.8286 4.8286 4.5284 Å, 90.00 90.00 90.00°
Space group P4/mmm (No. 123)
One atom of each set of equivalent atoms:
P  0.0000  0.0000  0.0000 (multiplicity 1)
Au  0.5000  0.5000  0.5000 (multiplicity 1)
S  0.0000  0.0000  0.5000 (multiplicity 1)
Cl  0.0000  0.5000  0.0000 (multiplicity 2)